No. 1
Diffraction record for Li2AlNiO4. The X-ray diffraction stick pattern is theoretical, not measured: it uses a PBE+U-relaxed structure and copper Kα.
No peak broadening, texture or thermal motion is included.

Structural model:
Lattice parameters (Å, degrees): 4.982 5.366 8.111 90.00 127.87 90.00
Space group Pc (No. 7)
Symmetry-distinct sites (fractional):
Li 0.000 0.169 0.000 (multiplicity 2)
Li 0.250 0.329 0.753 (multiplicity 2)
Al 0.757 0.327 0.251 (multiplicity 2)
Ni 0.509 0.172 0.505 (multiplicity 2)
O 0.129 0.315 0.264 (multiplicity 2)
O 0.426 0.161 0.023 (multiplicity 2)
O 0.641 0.356 0.738 (multiplicity 2)
O 0.860 0.186 0.482 (multiplicity 2)

Peak list (10 most intense, 2θ = 5–70°, by intensity)
index  2θ (°)  I_rel
1 0 -2  22.6  100
0 1 1  21.6  86
0 1 2  32.6  50
2 0 -2  36.1  47
1 1 1  37.4  41
0 2 0  33.4  31
0 3 2  59.2  30
3 1 -1  65.7  27
1 1 0  28.1  23
2 1 -4  49.4  20



No. 2
Diffraction record for NaFe2P2HO8. The X-ray diffraction stick pattern is theoretical, not measured: it uses a PBE+U-relaxed structure and copper Kα.
No peak broadening, texture or thermal motion is included.

Structural model:
Lattice parameters (Å, degrees): 5.264 8.716 9.086 95.64 99.55 105.99
Space group P-1 (No. 2)
Symmetry-distinct sites (fractional):
Na 0.093 0.317 0.324 (multiplicity 2)
Fe 0.189 0.885 0.099 (multiplicity 2)
Fe 0.277 0.391 0.737 (multiplicity 2)
P 0.348 0.749 0.421 (multiplicity 2)
P 0.380 0.255 0.063 (multiplicity 2)
H 0.424 0.937 0.620 (multiplicity 2)
O 0.096 0.604 0.359 (multiplicity 2)
O 0.195 0.119 0.130 (multiplicity 2)
O 0.206 0.257 0.904 (multiplicity 2)
O 0.301 0.823 0.579 (multiplicity 2)
O 0.350 0.774 0.954 (multiplicity 2)
O 0.380 0.882 0.318 (multiplicity 2)
O 0.396 0.306 0.550 (multiplicity 2)
O 0.425 0.414 0.168 (multiplicity 2)

Peak list (10 most intense, 2θ = 5–70°, by intensity)
index  2θ (°)  I_rel
0 1 1  15.7  100
-1 1 1  19.6  97
1 2 0  32.0  91
1 -1 2  28.5  75
0 2 -2  27.2  63
0 2 0  21.5  57
0 1 -2  21.3  50
-2 1 1  34.4  46
1 -2 0  23.5  41
-1 3 2  38.8  37



No. 3
Diffraction record for Li4Ti3Ni3Sn2O16. The X-ray diffraction stick pattern is theoretical, not measured: it uses a PBE+U-relaxed structure and copper Kα.
No peak broadening, texture or thermal motion is included.

Structural model:
Lattice parameters (Å, degrees): 5.919 5.955 9.758 89.60 89.49 60.31
Space group P1 (No. 1)
Symmetry-distinct sites (fractional):
Li 0.000 0.000 0.000 (multiplicity 1)
Li 0.010 0.997 0.498 (multiplicity 1)
Li 0.332 0.328 0.905 (multiplicity 1)
Li 0.664 0.668 0.398 (multiplicity 1)
Ti 0.659 0.163 0.220 (multiplicity 1)
Ti 0.821 0.340 0.722 (multiplicity 1)
Ti 0.827 0.830 0.720 (multiplicity 1)
Ni 0.168 0.168 0.217 (multiplicity 1)
Ni 0.168 0.659 0.221 (multiplicity 1)
Ni 0.340 0.829 0.719 (multiplicity 1)
Sn 0.318 0.340 0.494 (multiplicity 1)
Sn 0.656 0.669 0.000 (multiplicity 1)
O 0.034 0.481 0.335 (multiplicity 1)
O 0.147 0.173 0.606 (multiplicity 1)
O 0.147 0.680 0.604 (multiplicity 1)
O 0.310 0.844 0.109 (multiplicity 1)
O 0.341 0.307 0.112 (multiplicity 1)
O 0.470 0.492 0.339 (multiplicity 1)
O 0.501 0.034 0.350 (multiplicity 1)
O 0.526 0.504 0.847 (multiplicity 1)
O 0.530 0.962 0.849 (multiplicity 1)
O 0.666 0.168 0.609 (multiplicity 1)
O 0.688 0.655 0.609 (multiplicity 1)
O 0.818 0.325 0.104 (multiplicity 1)
O 0.842 0.833 0.112 (multiplicity 1)
O 0.964 0.517 0.840 (multiplicity 1)
O 0.985 0.006 0.813 (multiplicity 1)
O 0.993 0.025 0.313 (multiplicity 1)

Peak list (10 most intense, 2θ = 5–70°, by intensity)
index  2θ (°)  I_rel
0 1 1  19.4  100
1 0 -1  19.6  57
-1 1 2  35.3  44
1 1 2  25.1  36
1 0 3  32.5  34
2 1 2  35.4  30
2 0 3  44.8  25
2 2 5  59.2  24
1 1 -3  32.7  20
0 2 1  35.9  19



No. 4
Diffraction record for LiFe8O12. The X-ray diffraction stick pattern is theoretical, not measured: it uses a PBE+U-relaxed structure and copper Kα.
No peak broadening, texture or thermal motion is included.

Structural model:
Lattice parameters (Å, degrees): 6.037 6.042 13.450 77.38 77.06 89.93
Space group P-1 (No. 2)
Symmetry-distinct sites (fractional):
Li 0.000 0.000 0.000 (multiplicity 1)
Li 0.500 0.500 0.500 (multiplicity 1)
Fe 0.000 0.500 0.000 (multiplicity 1)
Fe 0.000 0.500 0.500 (multiplicity 1)
Fe 0.123 0.374 0.751 (multiplicity 2)
Fe 0.167 0.159 0.163 (multiplicity 2)
Fe 0.203 0.962 0.580 (multiplicity 2)
Fe 0.328 0.840 0.838 (multiplicity 2)
Fe 0.342 0.332 0.335 (multiplicity 2)
Fe 0.342 0.830 0.335 (multiplicity 2)
Fe 0.456 0.699 0.083 (multiplicity 2)
O 0.071 0.593 0.838 (multiplicity 2)
O 0.076 0.073 0.830 (multiplicity 2)
O 0.098 0.578 0.340 (multiplicity 2)
O 0.106 0.085 0.328 (multiplicity 2)
O 0.239 0.257 0.005 (multiplicity 2)
O 0.241 0.735 0.999 (multiplicity 2)
O 0.242 0.262 0.494 (multiplicity 2)
O 0.243 0.742 0.494 (multiplicity 2)
O 0.403 0.916 0.174 (multiplicity 2)
O 0.404 0.395 0.176 (multiplicity 2)
O 0.432 0.920 0.664 (multiplicity 2)
O 0.433 0.418 0.668 (multiplicity 2)

Peak list (10 most intense, 2θ = 5–70°, by intensity)
index  2θ (°)  I_rel
-1 2 2  34.9  100
2 1 0  34.8  98
2 2 -4  61.4  49
1 -1 3  29.6  41
1 1 4  29.7  32
-2 2 6  61.7  32
3 2 4  56.0  27
2 2 2  42.3  26
-2 3 2  56.1  24
4 0 2  61.4  16



What did the second record say?
Diffraction record for NaFe2P2HO8. The X-ray diffraction stick pattern is theoretical, not measured: it uses a PBE+U-relaxed structure and copper Kα.
No peak broadening, texture or thermal motion is included.

Structural model:
Lattice parameters (Å, degrees): 5.264 8.716 9.086 95.64 99.55 105.99
Space group P-1 (No. 2)
Symmetry-distinct sites (fractional):
Na 0.093 0.317 0.324 (multiplicity 2)
Fe 0.189 0.885 0.099 (multiplicity 2)
Fe 0.277 0.391 0.737 (multiplicity 2)
P 0.348 0.749 0.421 (multiplicity 2)
P 0.380 0.255 0.063 (multiplicity 2)
H 0.424 0.937 0.620 (multiplicity 2)
O 0.096 0.604 0.359 (multiplicity 2)
O 0.195 0.119 0.130 (multiplicity 2)
O 0.206 0.257 0.904 (multiplicity 2)
O 0.301 0.823 0.579 (multiplicity 2)
O 0.350 0.774 0.954 (multiplicity 2)
O 0.380 0.882 0.318 (multiplicity 2)
O 0.396 0.306 0.550 (multiplicity 2)
O 0.425 0.414 0.168 (multiplicity 2)

Peak list (10 most intense, 2θ = 5–70°, by intensity)
index  2θ (°)  I_rel
0 1 1  15.7  100
-1 1 1  19.6  97
1 2 0  32.0  91
1 -1 2  28.5  75
0 2 -2  27.2  63
0 2 0  21.5  57
0 1 -2  21.3  50
-2 1 1  34.4  46
1 -2 0  23.5  41
-1 3 2  38.8  37



What is the formula in the third record?
Li4Ti3Ni3Sn2O16